No. 1
Simulated XRD peak list of KFeH5S2O10 for Cu Ka, from the PBE+U geometry in the Materials Project.
Lines closer than 0.1° are merged.

```
data_KFeH5S2O10
_space_group_name_H-M_alt 'P 1'
_space_group_IT_number 1
_cell_length_a 5.9206
_cell_length_b 8.3622
_cell_length_c 9.3941
_cell_angle_alpha 99.07
_cell_angle_beta 96.21
_cell_angle_gamma 103.55
loop_
_space_group_symop_operation_xyz
'x,y,z'
loop_
_atom_site_label
_atom_site_type_symbol
_atom_site_fract_x
_atom_site_fract_y
_atom_site_fract_z
K1 K 0.0000 0.0000 0.0000
K2 K 0.9996 0.9999 0.4998
Fe1 Fe 0.0004 0.5087 0.4988
Fe2 Fe 0.0005 0.5082 0.9983
H1 H 0.2737 0.3754 0.3127
H2 H 0.2745 0.3754 0.8123
H3 H 0.3334 0.3317 0.4684
H4 H 0.3336 0.3317 0.9680
H5 H 0.5202 0.0151 0.7449
H6 H 0.5216 0.0154 0.2450
H7 H 0.6558 0.6774 0.0222
H8 H 0.6557 0.6776 0.5223
H9 H 0.7145 0.6415 0.1816
H10 H 0.7143 0.6416 0.6817
S1 S 0.3178 0.7505 0.3032
S2 S 0.3183 0.7504 0.8033
S3 S 0.6761 0.2627 0.1902
S4 S 0.6760 0.2626 0.6896
O1 O 0.1275 0.7137 0.3944
O2 O 0.1277 0.7136 0.8942
O3 O 0.2084 0.3532 0.4009
O4 O 0.2090 0.3534 0.9004
O5 O 0.2775 0.6113 0.1749
O6 O 0.2779 0.6113 0.6749
O7 O 0.3060 0.9122 0.2546
O8 O 0.3067 0.9126 0.7550
O9 O 0.4401 0.2370 0.6084
O10 O 0.4407 0.2366 0.1082
O11 O 0.5534 0.7711 0.3855
O12 O 0.5539 0.7707 0.8856
O13 O 0.6920 0.0945 0.7362
O14 O 0.6931 0.0944 0.2367
O15 O 0.7137 0.3936 0.3224
O16 O 0.7153 0.3942 0.8214
O17 O 0.7774 0.6526 0.0907
O18 O 0.7774 0.6531 0.5909
O19 O 0.8673 0.2964 0.6009
O20 O 0.8682 0.2975 0.1022
```

Top 10 peaks for 2θ from 5° to 70°, most intense first:
Position (°2θ), I/Imax
26.73, 100
16.66, 65
31.99, 28
23.73, 27
25.75, 26
11.08, 25
30.48, 22
24.15, 21
39.73, 19
25.45, 19

No. 2
Simulated XRD peak list of Sr2CoO4 for Cu Ka, from the PBE+U geometry in the Materials Project.
Lines closer than 0.1° are merged.

```
data_Sr2CoO4
_space_group_name_H-M_alt 'P 1'
_space_group_IT_number 1
_cell_length_a 5.5178
_cell_length_b 6.7985
_cell_length_c 10.3459
_cell_angle_alpha 102.86
_cell_angle_beta 90.06
_cell_angle_gamma 90.00
loop_
_space_group_symop_operation_xyz
'x,y,z'
loop_
_atom_site_label
_atom_site_type_symbol
_atom_site_fract_x
_atom_site_fract_y
_atom_site_fract_z
Sr1 Sr 0.0000 0.0000 0.0000
Sr2 Sr 0.0013 0.4222 0.8599
Sr3 Sr 0.0050 0.9287 0.3630
Sr4 Sr 0.0069 0.5024 0.5059
Sr5 Sr 0.4993 0.6778 0.1153
Sr6 Sr 0.5000 0.2558 0.2555
Sr7 Sr 0.5065 0.7490 0.7520
Sr8 Sr 0.5076 0.1752 0.6092
Co1 Co 0.0046 0.4620 0.1814
Co2 Co 0.0045 0.9650 0.6840
Co3 Co 0.5036 0.7130 0.4314
Co4 Co 0.5055 0.2154 0.9340
O1 O 0.0053 0.7230 0.7636
O2 O 0.0056 0.2019 0.6017
O3 O 0.2405 0.0769 0.7965
O4 O 0.2395 0.5867 0.3022
O5 O 0.2518 0.3341 0.0526
O6 O 0.2794 0.8311 0.5495
O7 O 0.4954 0.9840 0.0095
O8 O 0.4964 0.4436 0.8582
O9 O 0.5034 0.9552 0.3519
O10 O 0.5047 0.4762 0.5137
O11 O 0.7374 0.6005 0.3183
O12 O 0.7423 0.0920 0.8130
O13 O 0.7522 0.3437 0.0631
O14 O 0.7797 0.8466 0.5658
O15 O 0.9946 0.2338 0.2574
O16 O 0.9945 0.6947 0.1058
```

Top 10 peaks for 2θ from 5° to 70°, most intense first:
Position (°2θ), I/Imax
31.50, 100
32.44, 77
46.54, 42
57.28, 37
43.89, 26
43.17, 16
65.77, 15
55.49, 15
43.74, 14
14.26, 12

No. 3
Simulated XRD peak list of NaCr3O8 for Cu Ka, from the PBE+U geometry in the Materials Project.
Lines closer than 0.1° are merged.

```
data_NaCr3O8
_space_group_name_H-M_alt 'P 1'
_space_group_IT_number 1
_cell_length_a 5.1649
_cell_length_b 5.1649
_cell_length_c 7.0282
_cell_angle_alpha 90.08
_cell_angle_beta 90.08
_cell_angle_gamma 64.99
loop_
_space_group_symop_operation_xyz
'x,y,z'
loop_
_atom_site_label
_atom_site_type_symbol
_atom_site_fract_x
_atom_site_fract_y
_atom_site_fract_z
Na1 Na 0.0000 0.0000 0.0000
Cr1 Cr 0.0000 0.0000 0.5000
Cr2 Cr 0.3573 0.3573 0.2757
Cr3 Cr 0.6427 0.6427 0.7243
O1 O 0.2151 0.7197 0.2955
O2 O 0.2237 0.2237 0.4437
O3 O 0.2783 0.2783 0.0677
O4 O 0.2803 0.7849 0.7045
O5 O 0.7197 0.2151 0.2955
O6 O 0.7217 0.7217 0.9323
O7 O 0.7763 0.7763 0.5563
O8 O 0.7849 0.2803 0.7045
```

Top 10 peaks for 2θ from 5° to 70°, most intense first:
Position (°2θ), I/Imax
22.83, 100
31.85, 66
24.02, 66
34.87, 39
12.59, 37
32.26, 27
60.08, 24
49.20, 13
46.63, 12
57.27, 11

No. 4
Simulated XRD peak list of CsMgFeMo2O8 for Cu Ka, from the PBE+U geometry in the Materials Project.
Lines closer than 0.1° are merged.

```
data_CsMgFeMo2O8
_space_group_name_H-M_alt 'P 1'
_space_group_IT_number 1
_cell_length_a 5.6343
_cell_length_b 5.6422
_cell_length_c 7.6483
_cell_angle_alpha 90.55
_cell_angle_beta 90.91
_cell_angle_gamma 119.21
loop_
_space_group_symop_operation_xyz
'x,y,z'
loop_
_atom_site_label
_atom_site_type_symbol
_atom_site_fract_x
_atom_site_fract_y
_atom_site_fract_z
Cs1 Cs 0.0000 0.0000 0.0000
Mg1 Mg 0.3269 0.6715 0.7383
Fe1 Fe 0.0048 0.0074 0.4954
Mo1 Mo 0.3400 0.6673 0.2466
Mo2 Mo 0.6569 0.3306 0.7224
O1 O 0.0929 0.7505 0.3245
O2 O 0.2603 0.3420 0.3281
O3 O 0.3176 0.0060 0.6587
O4 O 0.3315 0.6571 0.0059
O5 O 0.6574 0.6560 0.6580
O6 O 0.6587 0.2890 0.9515
O7 O 0.6694 0.9170 0.3301
O8 O 0.9869 0.3366 0.6571
```

Top 10 peaks for 2θ from 5° to 70°, most intense first:
Position (°2θ), I/Imax
31.75, 100
21.67, 97
29.27, 65
31.37, 54
21.26, 51
29.83, 48
29.95, 36
29.67, 35
56.08, 29
33.77, 25

No. 5
Simulated XRD peak list of MgTiMnO4 for Cu Ka, from the PBE+U geometry in the Materials Project.
Lines closer than 0.1° are merged.

```
data_MgTiMnO4
_space_group_name_H-M_alt 'P 1'
_space_group_IT_number 1
_cell_length_a 11.0551
_cell_length_b 3.5012
_cell_length_c 5.0304
_cell_angle_alpha 90.00
_cell_angle_beta 109.75
_cell_angle_gamma 90.00
loop_
_space_group_symop_operation_xyz
'x,y,z'
loop_
_atom_site_label
_atom_site_type_symbol
_atom_site_fract_x
_atom_site_fract_y
_atom_site_fract_z
Mg1 Mg 0.0000 0.0000 0.0000
Mg2 Mg 0.5000 0.5000 0.0000
Ti1 Ti 0.1422 0.5000 0.5147
Ti2 Ti 0.6422 0.0000 0.5147
Mn1 Mn 0.3653 0.0000 0.4653
Mn2 Mn 0.8653 0.5000 0.4653
O1 O 0.0781 0.5000 0.7962
O2 O 0.1597 0.0000 0.3632
O3 O 0.3336 0.5000 0.6653
O4 O 0.4728 0.0000 0.2099
O5 O 0.5781 0.0000 0.7962
O6 O 0.6597 0.5000 0.3632
O7 O 0.8336 0.0000 0.6653
O8 O 0.9728 0.5000 0.2099
```

Top 10 peaks for 2θ from 5° to 70°, most intense first:
Position (°2θ), I/Imax
18.74, 100
31.20, 99
45.08, 36
46.37, 36
26.87, 33
52.25, 26
33.23, 25
20.66, 24
29.49, 21
36.46, 19

No. 6
Simulated XRD peak list of Li3Fe3O8 for Cu Ka, from the PBE+U geometry in the Materials Project.
Lines closer than 0.1° are merged.

```
data_Li3Fe3O8
_space_group_name_H-M_alt 'P 1'
_space_group_IT_number 1
_cell_length_a 5.8652
_cell_length_b 5.8652
_cell_length_c 9.8660
_cell_angle_alpha 90.28
_cell_angle_beta 90.28
_cell_angle_gamma 120.38
loop_
_space_group_symop_operation_xyz
'x,y,z'
loop_
_atom_site_label
_atom_site_type_symbol
_atom_site_fract_x
_atom_site_fract_y
_atom_site_fract_z
Li1 Li 0.9995 0.0005 0.0000
Li2 Li 0.0005 0.9995 0.5000
Li3 Li 0.3384 0.6700 0.9972
Li4 Li 0.3480 0.6806 0.3836
Li5 Li 0.6700 0.3384 0.4972
Li6 Li 0.6806 0.3480 0.8836
Fe1 Fe 0.1753 0.3434 0.7140
Fe2 Fe 0.1756 0.8387 0.7143
Fe3 Fe 0.3434 0.1753 0.2140
Fe4 Fe 0.6688 0.8380 0.7131
Fe5 Fe 0.8380 0.6688 0.2131
Fe6 Fe 0.8387 0.1756 0.2143
O1 O 0.0440 0.5258 0.8177
O2 O 0.1576 0.8493 0.1101
O3 O 0.1591 0.3126 0.1132
O4 O 0.3126 0.1591 0.6132
O5 O 0.3631 0.6851 0.5980
O6 O 0.4934 0.5279 0.8197
O7 O 0.4954 0.9757 0.8202
O8 O 0.5258 0.0440 0.3177
O9 O 0.5279 0.4934 0.3197
O10 O 0.6851 0.3631 0.0980
O11 O 0.6947 0.8467 0.1113
O12 O 0.8467 0.6947 0.6113
O13 O 0.8493 0.1576 0.6101
O14 O 0.9757 0.4954 0.3202
O15 O 0.9839 0.9957 0.8188
O16 O 0.9957 0.9839 0.3188
```

Top 10 peaks for 2θ from 5° to 70°, most intense first:
Position (°2θ), I/Imax
17.98, 100
45.04, 26
19.64, 26
39.89, 18
36.46, 13
19.79, 13
45.42, 13
63.44, 12
36.59, 11
36.75, 10

No. 7
Simulated XRD peak list of LiFeSe2O6 for Cu Ka, from the PBE+U geometry in the Materials Project.
Lines closer than 0.1° are merged.

```
data_LiFeSe2O6
_space_group_name_H-M_alt 'P 1'
_space_group_IT_number 1
_cell_length_a 9.1998
_cell_length_b 9.1998
_cell_length_c 9.1998
_cell_angle_alpha 107.74
_cell_angle_beta 107.74
_cell_angle_gamma 112.99
loop_
_space_group_symop_operation_xyz
'x,y,z'
loop_
_atom_site_label
_atom_site_type_symbol
_atom_site_fract_x
_atom_site_fract_y
_atom_site_fract_z
Li1 Li 0.3750 0.1896 0.3146
Li2 Li 0.8104 0.1250 0.1854
Li3 Li 0.8750 0.0604 0.6854
Li4 Li 0.9396 0.6250 0.8146
Fe1 Fe 0.0876 0.1250 0.4626
Fe2 Fe 0.3750 0.9124 0.0374
Fe3 Fe 0.6624 0.6250 0.5374
Fe4 Fe 0.8750 0.3376 0.9626
Se1 Se 0.1037 0.8841 0.6710
Se2 Se 0.1159 0.7869 0.2197
Se3 Se 0.1827 0.4631 0.8290
Se4 Se 0.2131 0.4327 0.3290
Se5 Se 0.5369 0.3659 0.7197
Se6 Se 0.5673 0.8963 0.7803
Se7 Se 0.6341 0.3537 0.1710
Se8 Se 0.6463 0.8173 0.2803
O1 O 0.0005 0.8729 0.2916
O2 O 0.0749 0.2115 0.2797
O3 O 0.0865 0.0630 0.6587
O4 O 0.1271 0.4187 0.1276
O5 O 0.1687 0.3771 0.6276
O6 O 0.1778 0.6543 0.8413
O7 O 0.2048 0.9251 0.1366
O8 O 0.2911 0.9995 0.8724
O9 O 0.3457 0.1870 0.5235
O10 O 0.4043 0.4278 0.3413
O11 O 0.4589 0.8313 0.2084
O12 O 0.5452 0.1818 0.2203
O13 O 0.5722 0.9135 0.9765
O14 O 0.5813 0.7089 0.7084
O15 O 0.6229 0.2505 0.7916
O16 O 0.6635 0.8222 0.4765
O17 O 0.6751 0.4548 0.6366
O18 O 0.7495 0.5411 0.3724
O19 O 0.7885 0.0682 0.8634
O20 O 0.8130 0.3365 0.1587
O21 O 0.8182 0.0385 0.3634
O22 O 0.9318 0.7952 0.7203
O23 O 0.9370 0.5957 0.0235
O24 O 0.9615 0.3249 0.7797
```

Top 10 peaks for 2θ from 5° to 70°, most intense first:
Position (°2θ), I/Imax
24.00, 100
16.34, 77
25.97, 47
31.47, 44
39.46, 39
32.24, 34
23.19, 28
33.03, 19
41.24, 18
57.30, 16

What did the third record say?
Simulated XRD peak list of NaCr3O8 for Cu Ka, from the PBE+U geometry in the Materials Project.
Lines closer than 0.1° are merged.

```
data_NaCr3O8
_space_group_name_H-M_alt 'P 1'
_space_group_IT_number 1
_cell_length_a 5.1649
_cell_length_b 5.1649
_cell_length_c 7.0282
_cell_angle_alpha 90.08
_cell_angle_beta 90.08
_cell_angle_gamma 64.99
loop_
_space_group_symop_operation_xyz
'x,y,z'
loop_
_atom_site_label
_atom_site_type_symbol
_atom_site_fract_x
_atom_site_fract_y
_atom_site_fract_z
Na1 Na 0.0000 0.0000 0.0000
Cr1 Cr 0.0000 0.0000 0.5000
Cr2 Cr 0.3573 0.3573 0.2757
Cr3 Cr 0.6427 0.6427 0.7243
O1 O 0.2151 0.7197 0.2955
O2 O 0.2237 0.2237 0.4437
O3 O 0.2783 0.2783 0.0677
O4 O 0.2803 0.7849 0.7045
O5 O 0.7197 0.2151 0.2955
O6 O 0.7217 0.7217 0.9323
O7 O 0.7763 0.7763 0.5563
O8 O 0.7849 0.2803 0.7045
```

Top 10 peaks for 2θ from 5° to 70°, most intense first:
Position (°2θ), I/Imax
22.83, 100
31.85, 66
24.02, 66
34.87, 39
12.59, 37
32.26, 27
60.08, 24
49.20, 13
46.63, 12
57.27, 11

Question: What is the formula in the third record?
Answer: NaCr3O8